Theoretical X-ray powder pattern
Compound: Sm12Al5Fe14
Radiation: Cu Kα, 1.54184 Å
Structure: a PBE-relaxed structure
Intensities are scaled so that the largest is 100.

Main lines, most intense first (2θ = 15–90°):
(hkl)  d [Å]  two_theta  I_rel
2 0 3  2.375  37.88  100
2 2 0  2.323  38.76  67
0 2 2  2.973  30.05  56
0 2 1  3.661  24.31  55
0 3 1  2.567  34.96  54
2 1 1  2.876  31.10  49

Structural model:
```
data_Sm12Al5Fe14
_cell_length_a 9.2927
_cell_length_b 9.2927
_cell_length_c 8.8259
_cell_angle_alpha 90.00
_cell_angle_beta 90.00
_cell_angle_gamma 120.00
_space_group_name_H-M_alt 'P -3 m 1'
_space_group_IT_number 164
_space_group_name_Hall '-P 3 2"'
loop_
_atom_site_label
_atom_site_fract_x
_atom_site_fract_y
_atom_site_fract_z
_atom_site_occupancy
Sm1 0.0776 0.5388 0.3326 1
Sm2 0.1726 0.3452 0.8756 1
Al1 0.0000 0.5000 0.0000 1
Al2 0.3333 0.6667 0.6110 1
Fe1 0.0000 0.0000 0.0000 1
Fe2 0.0000 0.0000 0.5000 1
Fe3 0.0944 0.1888 0.2891 1
Fe4 0.1581 0.3162 0.5337 1
```

***

Theoretical X-ray powder pattern
Compound: KPPtSe5
Radiation: Cu Kα, 1.54184 Å
Structure: a PBE-relaxed structure
Intensities are scaled so that the largest is 100.

Main lines, most intense first (2θ = 15–90°):
(hkl)  d [Å]  two_theta  I_rel
4 2 -1  2.803  31.93  100
2 2 0  3.516  25.33  56
2 0 2  3.028  29.50  54
6 2 -1  2.365  38.05  36
4 2 -2  2.330  38.64  32
2 2 -1  3.190  27.97  31

Structural model:
```
data_KPPtSe5
_cell_length_a 19.081
_cell_length_b 7.577
_cell_length_c 6.804
_cell_angle_alpha 90.00
_cell_angle_beta 98.59
_cell_angle_gamma 90.00
_space_group_name_H-M_alt 'C 1 2/m 1'
_space_group_IT_number 12
loop_
_space_group_symop_operation_xyz
'x,y,z'
'-x,-y,-z'
'-x,y,-z'
'x,-y,z'
'x+1/2,y+1/2,z'
'-x+1/2,-y+1/2,-z'
'-x+1/2,y+1/2,-z'
'x+1/2,-y+1/2,z'
loop_
_atom_site_label
_atom_site_fract_x
_atom_site_fract_y
_atom_site_fract_z
_atom_site_occupancy
K1 0.222 0.000 0.214 1
P1 0.135 0.500 0.225 1
Pt1 0.000 0.248 0.000 1
Se1 0.064 0.000 0.861 1
Se2 0.079 0.500 0.899 1
Se3 0.085 0.253 0.323 1
Se4 0.249 0.500 0.270 1
```

***

Theoretical X-ray powder pattern
Compound: Dy4InCo2Ge4
Radiation: Cu Kα, 1.54184 Å
Structure: a PBE-relaxed structure
Intensities are scaled so that the largest is 100.

Main lines, most intense first (2θ = 15–90°):
(hkl)  d [Å]  two_theta  I_rel
3 1 -2  2.588  34.66  100
3 1 1  2.688  33.33  82
1 1 2  2.483  36.18  81
0 2 0  2.115  42.74  53
0 0 3  2.234  40.38  36
6 0 -1  2.572  34.88  35

Structural model:
```
data_Dy4InCo2Ge4
_cell_length_a 15.464
_cell_length_b 4.231
_cell_length_c 7.035
_cell_angle_alpha 90.00
_cell_angle_beta 107.85
_cell_angle_gamma 90.00
_space_group_name_H-M_alt 'C 1 2/m 1'
_space_group_IT_number 12
loop_
_space_group_symop_operation_xyz
'x,y,z'
'-x,-y,-z'
'-x,y,-z'
'x,-y,z'
'x+1/2,y+1/2,z'
'-x+1/2,-y+1/2,-z'
'-x+1/2,y+1/2,-z'
'x+1/2,-y+1/2,z'
loop_
_atom_site_label
_atom_site_fract_x
_atom_site_fract_y
_atom_site_fract_z
_atom_site_occupancy
Dy1 0.090 0.000 0.388 1
Dy2 0.154 0.000 0.941 1
In1 0.000 0.500 0.000 1
Co1 0.220 0.500 0.627 1
Ge1 0.069 0.500 0.659 1
Ge2 0.207 0.500 0.270 1
```

***

Theoretical X-ray powder pattern
Compound: Ta2SiN
Radiation: Cu Kα, 1.54184 Å
Structure: a PBE-relaxed structure
Intensities are scaled so that the largest is 100.

Main lines, most intense first (2θ = 15–90°):
(hkl)  d [Å]  two_theta  I_rel
3 1 2  2.298  39.21  100
3 1 -1  2.794  32.04  26
6 0 -2  1.613  57.10  25
3 1 -2  2.723  32.89  23
6 2 1  1.320  71.46  17
0 0 4  3.030  29.48  16

Structural model:
```
data_Ta2SiN
_cell_length_a 9.675
_cell_length_b 5.590
_cell_length_c 12.543
_cell_angle_alpha 90.00
_cell_angle_beta 104.95
_cell_angle_gamma 90.00
_space_group_name_H-M_alt 'C 1 2/c 1'
_space_group_IT_number 15
loop_
_space_group_symop_operation_xyz
'x,y,z'
'-x,-y,-z'
'-x,y,-z+1/2'
'x,-y,z+1/2'
'x+1/2,y+1/2,z'
'-x+1/2,-y+1/2,-z'
'-x+1/2,y+1/2,-z+1/2'
'x+1/2,-y+1/2,z+1/2'
loop_
_atom_site_label
_atom_site_fract_x
_atom_site_fract_y
_atom_site_fract_z
_atom_site_occupancy
Ta1 0.051 0.084 0.402 1
Ta2 0.115 0.417 0.595 1
Ta3 0.218 0.416 0.906 1
Si1 0.000 0.421 0.250 1
Si2 0.169 0.086 0.750 1
N1 0.082 0.246 0.000 1
N2 0.250 0.250 0.500 1
```

***

Theoretical X-ray powder pattern
Compound: Sc4Si2Pt7
Radiation: Cu Kα, 1.54184 Å
Structure: a PBE-relaxed structure
Intensities are scaled so that the largest is 100.

Main lines, most intense first (2θ = 15–90°):
(hkl)  d [Å]  two_theta  I_rel
1 5 1  2.363  38.08  100
2 3 1  2.298  39.21  58
0 0 2  2.006  45.20  50
2 2 1  2.420  37.14  49
1 4 1  2.623  34.19  47
3 2 0  2.106  42.96  47

Structural model:
```
data_Sc4Si2Pt7
_cell_length_a 6.537
_cell_length_b 16.349
_cell_length_c 4.012
_cell_angle_alpha 90.00
_cell_angle_beta 90.00
_cell_angle_gamma 90.00
_space_group_name_H-M_alt 'P b a m'
_space_group_IT_number 55
loop_
_space_group_symop_operation_xyz
'x,y,z'
'-x,-y,-z'
'-x,-y,z'
'x,y,-z'
'x+1/2,-y+1/2,-z'
'-x+1/2,y+1/2,z'
'-x+1/2,y+1/2,-z'
'x+1/2,-y+1/2,z'
loop_
_atom_site_label
_atom_site_fract_x
_atom_site_fract_y
_atom_site_fract_z
_atom_site_occupancy
Sc1 0.026 0.209 0.000 1
Sc2 0.214 0.961 0.000 1
Si1 0.161 0.693 0.500 1
Pt1 0.000 0.500 0.500 1
Pt2 0.092 0.618 0.000 1
Pt3 0.094 0.079 0.500 1
Pt4 0.215 0.332 0.500 1
```

***

Theoretical X-ray powder pattern
Compound: TbAlGa2
Radiation: Cu Kα, 1.54184 Å
Structure: a PBE-relaxed structure
Intensities are scaled so that the largest is 100.

Main lines, most intense first (2θ = 15–90°):
(hkl)  d [Å]  two_theta  I_rel
1 2 2  2.339  38.48  100
1 2 0  3.498  25.46  40
0 4 0  2.725  32.86  25
2 0 0  2.280  39.52  22
0 0 2  3.145  28.38  17
3 2 2  1.328  71.00  16

Structural model:
```
data_TbAlGa2
_cell_length_a 4.561
_cell_length_b 10.920
_cell_length_c 6.282
_cell_angle_alpha 90.00
_cell_angle_beta 90.00
_cell_angle_gamma 90.00
_space_group_name_H-M_alt 'A m a 2'
_space_group_IT_number 40
loop_
_space_group_symop_operation_xyz
'x,y,z'
'-x,-y,z'
'-x+1/2,y,z'
'x+1/2,-y,z'
'x,y+1/2,z+1/2'
'-x,-y+1/2,z+1/2'
'-x+1/2,y+1/2,z+1/2'
'x+1/2,-y+1/2,z+1/2'
loop_
_atom_site_label
_atom_site_fract_x
_atom_site_fract_y
_atom_site_fract_z
_atom_site_occupancy
Tb1 0.250 0.167 0.000 1
Al1 0.250 0.429 0.784 1
Ga1 0.250 0.148 0.499 1
Ga2 0.250 0.427 0.223 1
```

***

Theoretical X-ray powder pattern
Compound: NdDyGa2Cl2
Radiation: Cu Kα, 1.54184 Å
Structure: a PBE-relaxed structure
Intensities are scaled so that the largest is 100.

Main lines, most intense first (2θ = 15–90°):
(hkl)  d [Å]  two_theta  I_rel
1 0 3  2.566  34.97  100
1 0 2  3.002  29.76  91
1 1 0  2.065  43.84  50
1 0 0  3.577  24.89  31
0 1 5  1.880  48.43  26
0 2 3  1.609  57.27  24

Structural model:
```
data_NdDyGa2Cl2
_cell_length_a 4.1301
_cell_length_b 4.1301
_cell_length_c 11.0462
_cell_angle_alpha 90.00
_cell_angle_beta 90.00
_cell_angle_gamma 120.00
_space_group_name_H-M_alt 'P 3 m 1'
_space_group_IT_number 156
loop_
_space_group_symop_operation_xyz
'x,y,z'
'-y,x-y,z'
'-x+y,-x,z'
'-y,-x,z'
'-x+y,y,z'
'x,x-y,z'
loop_
_atom_site_label
_atom_site_fract_x
_atom_site_fract_y
_atom_site_fract_z
_atom_site_occupancy
Nd1 0.0000 0.0000 0.0000 1
Dy1 0.0000 0.0000 0.6199 1
Ga1 0.3333 0.6667 0.8351 1
Ga2 0.6667 0.3333 0.7754 1
Cl1 0.3333 0.6667 0.4807 1
Cl2 0.6667 0.3333 0.1496 1
```

***

Theoretical X-ray powder pattern
Compound: Tl2AgPdBr6
Radiation: Cu Kα, 1.54184 Å
Structure: a PBE-relaxed structure
Intensities are scaled so that the largest is 100.

Main lines, most intense first (2θ = 15–90°):
(hkl)  d [Å]  two_theta  I_rel
2 0 2  3.039  29.39  100
2 2 0  2.602  34.47  89
1 1 2  3.743  23.77  82
2 2 4  1.872  48.65  66
0 0 4  2.694  33.26  59
2 0 0  3.680  24.18  56

Structural model:
```
data_Tl2AgPdBr6
_cell_length_a 7.360
_cell_length_b 7.360
_cell_length_c 10.776
_cell_angle_alpha 90.00
_cell_angle_beta 90.00
_cell_angle_gamma 90.00
_space_group_name_H-M_alt 'I 4/m'
_space_group_IT_number 87
_space_group_name_Hall '-I 4'
loop_
_atom_site_label
_atom_site_fract_x
_atom_site_fract_y
_atom_site_fract_z
_atom_site_occupancy
Tl1 0.000 0.500 0.250 1
Ag1 0.000 0.000 0.000 1
Pd1 0.000 0.000 0.500 1
Br1 0.000 0.000 0.260 1
Br2 0.197 0.711 0.500 1
```

***

Theoretical X-ray powder pattern
Compound: KNa3Ag2Sb2
Radiation: Cu Kα, 1.54184 Å
Structure: a PBE-relaxed structure
Intensities are scaled so that the largest is 100.

Main lines, most intense first (2θ = 15–90°):
(hkl)  d [Å]  two_theta  I_rel
1 0 -1  4.838  18.34  100
1 2 1  2.365  38.04  46
1 1 0  4.190  21.20  40
0 2 1  2.667  33.60  34
0 1 1  4.312  20.60  31
1 1 -2  2.711  33.04  30

Structural model:
```
data_KNa3Ag2Sb2
_cell_length_a 6.085
_cell_length_b 5.882
_cell_length_c 6.462
_cell_angle_alpha 90.00
_cell_angle_beta 101.12
_cell_angle_gamma 90.00
_space_group_name_H-M_alt 'P 1 m 1'
_space_group_IT_number 6
loop_
_space_group_symop_operation_xyz
'x,y,z'
'x,-y,z'
loop_
_atom_site_label
_atom_site_fract_x
_atom_site_fract_y
_atom_site_fract_z
_atom_site_occupancy
K1 0.000 0.000 0.000 1
Na1 0.066 0.500 0.349 1
Na2 0.364 0.000 0.651 1
Na3 0.707 0.500 0.683 1
Ag1 0.541 0.252 0.173 1
Sb1 0.261 0.500 0.877 1
Sb2 0.816 0.000 0.470 1
```

***

Theoretical X-ray powder pattern
Compound: NdI3O9
Radiation: Cu Kα, 1.54184 Å
Structure: a PBE-relaxed structure
Intensities are scaled so that the largest is 100.

Main lines, most intense first (2θ = 15–90°):
(hkl)  d [Å]  two_theta  I_rel
2 -1 3  3.409  26.14  100
3 0 0  2.861  31.26  45
1 1 6  2.122  42.61  30
0 2 1  4.105  21.65  22
0 4 5  1.705  53.75  18
1 2 2  2.947  30.33  17

Structural model:
```
data_NdI3O9
_cell_length_a 9.9105
_cell_length_b 9.9105
_cell_length_c 14.0879
_cell_angle_alpha 90.00
_cell_angle_beta 90.00
_cell_angle_gamma 120.00
_space_group_name_H-M_alt 'R -3'
_space_group_IT_number 148
_space_group_name_Hall '-R 3'
loop_
_atom_site_label
_atom_site_fract_x
_atom_site_fract_y
_atom_site_fract_z
_atom_site_occupancy
Nd1 0.0000 0.0000 0.1683 1
I1 0.0021 0.7172 0.4117 1
O1 0.0447 0.7624 0.5387 1
O2 0.0479 0.2196 0.9167 1
O3 0.0512 0.1986 0.2811 1
```

***

Theoretical X-ray powder pattern
Compound: Al4NiPt3
Radiation: Cu Kα, 1.54184 Å
Structure: a PBE-relaxed structure
Intensities are scaled so that the largest is 100.

Main lines, most intense first (2θ = 15–90°):
(hkl)  d [Å]  two_theta  I_rel
3 -1 1  2.171  41.59  100
1 1 0  3.435  25.94  62
1 2 2  1.983  45.75  38
0 0 3  2.801  31.95  34
2 3 2  1.298  72.85  22
3 -1 4  1.535  60.28  15

Structural model:
```
data_Al4NiPt3
_cell_length_a 6.8729
_cell_length_b 6.8729
_cell_length_c 8.3950
_cell_angle_alpha 90.00
_cell_angle_beta 90.00
_cell_angle_gamma 120.00
_space_group_name_H-M_alt 'R 3'
_space_group_IT_number 146
_space_group_name_Hall 'R 3'
loop_
_atom_site_label
_atom_site_fract_x
_atom_site_fract_y
_atom_site_fract_z
_atom_site_occupancy
Al1 0.0000 0.0000 0.0000 1
Al2 0.1033 0.3933 0.2010 1
Ni1 0.0000 0.0000 0.3019 1
Pt1 0.0334 0.7621 0.7680 1
```

***

Theoretical X-ray powder pattern
Compound: ZnSnB
Radiation: Cu Kα, 1.54184 Å
Structure: a PBE-relaxed structure
Intensities are scaled so that the largest is 100.

Main lines, most intense first (2θ = 15–90°):
(hkl)  d [Å]  two_theta  I_rel
2 0 0  2.928  30.53  100
2 2 0  2.071  43.72  89
4 2 0  1.310  72.13  35
4 2 2  1.195  80.31  30
2 2 2  1.691  54.26  27
4 0 0  1.464  63.54  14

Structural model:
```
data_ZnSnB
_cell_length_a 5.857
_cell_length_b 5.857
_cell_length_c 5.857
_cell_angle_alpha 90.00
_cell_angle_beta 90.00
_cell_angle_gamma 90.00
_space_group_name_H-M_alt 'F -4 3 m'
_space_group_IT_number 216
_space_group_name_Hall 'F -4 2 3'
loop_
_atom_site_label
_atom_site_fract_x
_atom_site_fract_y
_atom_site_fract_z
_atom_site_occupancy
Zn1 0.000 0.000 0.000 1
Sn1 0.000 0.000 0.500 1
B1 0.250 0.250 0.750 1
```